Simulated X-ray powder pattern of SmHo3Sn for Cu Kα (λ = 1.5418 Å), from a crystal structure in Alexandria, relaxed with PBE.

Atomic structure:
```
data_SmHo3Sn
_cell_length_a 7.8604
_cell_length_b 7.8604
_cell_length_c 7.8604
_cell_angle_alpha 87.22
_cell_angle_beta 114.78
_cell_angle_gamma 129.01
_symmetry_space_group_name_H-M 'P 1'
_symmetry_Int_Tables_number 1
loop_
_symmetry_equiv_pos_as_xyz
'x,y,z'
loop_
_atom_site_label
_atom_site_fract_x
_atom_site_fract_y
_atom_site_fract_z
Sm1 0.2458 0.2500 0.4958
Sm2 0.7542 0.7500 0.5042
Ho1 0.1871 0.5063 0.1809
Ho2 0.2266 0.5375 0.7591
Ho3 0.2266 0.9674 0.1891
Ho4 0.3254 0.0063 0.8191
Ho5 0.7784 0.0375 0.8109
Ho6 0.7784 0.4674 0.2409
Sn1 0.6720 0.9933 0.1787
Sn2 0.8147 0.4933 0.8213
```

Peak list (10 most intense, 10 to 90 degrees two-theta, in order of falling intensity)
2theta, d/Å, intensity
33.91, 2.644, 1000
37.15, 2.420, 838
31.44, 2.846, 616
30.74, 2.908, 582
39.79, 2.266, 574
46.91, 1.937, 552
26.22, 3.398, 458
32.67, 2.741, 355
20.97, 4.236, 316
29.49, 3.029, 284

=====

Simulated X-ray powder pattern of Tb8Sm3Ho for Cu Kα (λ = 1.5418 Å), from a crystal structure in Alexandria, relaxed with PBE.

Atomic structure:
```
data_Tb8Sm3Ho
_cell_length_a 8.5041
_cell_length_b 8.5041
_cell_length_c 6.3020
_cell_angle_alpha 111.74
_cell_angle_beta 111.74
_cell_angle_gamma 84.24
_symmetry_space_group_name_H-M 'P 1'
_symmetry_Int_Tables_number 1
loop_
_symmetry_equiv_pos_as_xyz
'x,y,z'
loop_
_atom_site_label
_atom_site_fract_x
_atom_site_fract_y
_atom_site_fract_z
Tb1 0.0000 0.0000 0.0000
Tb2 0.0846 0.5829 0.9992
Tb3 0.1676 0.1676 0.6699
Tb4 0.2516 0.7498 0.6680
Tb5 0.3344 0.3344 0.3348
Tb6 0.5829 0.0846 0.9992
Tb7 0.6662 0.6662 0.6684
Tb8 0.7498 0.2516 0.6680
Sm1 0.4160 0.9165 0.3327
Sm2 0.8340 0.8340 0.3341
Sm3 0.9165 0.4160 0.3327
Ho1 0.4990 0.4990 0.9992
```

Peak list (10 most intense, 10 to 90 degrees two-theta, in order of falling intensity)
2theta, d/Å, intensity
32.45, 2.759, 1000
31.37, 2.852, 243
28.30, 3.153, 238
60.32, 1.534, 227
56.53, 1.628, 207
50.11, 1.820, 198
60.97, 1.520, 165
42.75, 2.115, 157
82.70, 1.167, 94
86.75, 1.123, 84

=====

Copy entry 1 word for word.
Simulated X-ray powder pattern of SmHo3Sn for Cu Kα (λ = 1.5418 Å), from a crystal structure in Alexandria, relaxed with PBE.

Atomic structure:
```
data_SmHo3Sn
_cell_length_a 7.8604
_cell_length_b 7.8604
_cell_length_c 7.8604
_cell_angle_alpha 87.22
_cell_angle_beta 114.78
_cell_angle_gamma 129.01
_symmetry_space_group_name_H-M 'P 1'
_symmetry_Int_Tables_number 1
loop_
_symmetry_equiv_pos_as_xyz
'x,y,z'
loop_
_atom_site_label
_atom_site_fract_x
_atom_site_fract_y
_atom_site_fract_z
Sm1 0.2458 0.2500 0.4958
Sm2 0.7542 0.7500 0.5042
Ho1 0.1871 0.5063 0.1809
Ho2 0.2266 0.5375 0.7591
Ho3 0.2266 0.9674 0.1891
Ho4 0.3254 0.0063 0.8191
Ho5 0.7784 0.0375 0.8109
Ho6 0.7784 0.4674 0.2409
Sn1 0.6720 0.9933 0.1787
Sn2 0.8147 0.4933 0.8213
```

Peak list (10 most intense, 10 to 90 degrees two-theta, in order of falling intensity)
2theta, d/Å, intensity
33.91, 2.644, 1000
37.15, 2.420, 838
31.44, 2.846, 616
30.74, 2.908, 582
39.79, 2.266, 574
46.91, 1.937, 552
26.22, 3.398, 458
32.67, 2.741, 355
20.97, 4.236, 316
29.49, 3.029, 284

=====

What is the formula in the first record? SmHo3Sn